Record 1
KDySe4: theoretical powder XRD pattern (Cu Kα (weighted mean of Kα1 and Kα2)), based on DFT lattice parameters and positions (GGA-PBE).

Main lines, by angle (2θ = 10–80°):
- 10.53 deg, I 100
- 29.29 deg, I 91
- 33.68 deg, I 67
- 35.73 deg, I 31
- 38.01 deg, I 22
- 38.60 deg, I 14
- 45.75 deg, I 51
- 47.07 deg, I 14
- 54.62 deg, I 21
- 63.31 deg, I 21
- 64.65 deg, I 15
- 67.12 deg, I 13

Structure:
Unit cell a=6.2728 b=6.2728 c=8.3975 alpha=90.00 beta=90.00 gamma=90.00
Element x y z (fractional)
K 0.2500 0.2500 0.0000
K 0.7500 0.7500 0.0000
Dy 0.2500 0.2500 0.5000
Dy 0.7500 0.7500 0.5000
Se 0.1127 0.6127 0.2939
Se 0.1127 0.8873 0.7061
Se 0.3873 0.6127 0.7061
Se 0.3873 0.8873 0.2939
Se 0.6127 0.1127 0.7061
Se 0.6127 0.3873 0.2939
Se 0.8873 0.1127 0.2939
Se 0.8873 0.3873 0.7061

Record 2
KTbDy4Se8: theoretical powder XRD pattern (Cu Kα (weighted mean of Kα1 and Kα2)), based on DFT lattice parameters and positions (GGA-PBE).

Main lines, by angle (2θ = 10–80°):
- 12.62 deg, I 40
- 14.59 deg, I 12
- 20.69 deg, I 15
- 24.31 deg, I 83
- 29.42 deg, I 73
- 38.51 deg, I 39
- 38.55 deg, I 15
- 42.09 deg, I 100
- 52.22 deg, I 13
- 58.40 deg, I 15
- 61.04 deg, I 15
- 76.97 deg, I 21

Structure:
Unit cell a=8.5973 b=8.5973 c=8.5973 alpha=59.85 beta=59.85 gamma=59.85
Element x y z (fractional)
K 0.0000 0.0000 0.0000
Tb 0.6307 0.6307 0.6307
Dy 0.1115 0.6305 0.6305
Dy 0.2509 0.2509 0.2509
Dy 0.6305 0.1115 0.6305
Dy 0.6305 0.6305 0.1115
Se 0.3833 0.3833 0.3833
Se 0.3829 0.3829 0.8535
Se 0.3829 0.8535 0.3829
Se 0.4216 0.8613 0.8613
Se 0.8535 0.3829 0.3829
Se 0.8601 0.8601 0.8601
Se 0.8613 0.4216 0.8613
Se 0.8613 0.8613 0.4216

Record 3
K2DyTeSe4: theoretical powder XRD pattern (Cu Kα (weighted mean of Kα1 and Kα2)), based on DFT lattice parameters and positions (GGA-PBE).

Main lines, by angle (2θ = 10–80°):
- 11.92 deg, I 88
- 12.67 deg, I 37
- 27.17 deg, I 100
- 29.29 deg, I 85
- 29.43 deg, I 83
- 35.07 deg, I 16
- 38.46 deg, I 38
- 40.38 deg, I 63
- 42.00 deg, I 57
- 42.42 deg, I 30
- 49.07 deg, I 31
- 52.39 deg, I 30

Structure:
Unit cell a=8.6232 b=8.6232 c=8.5490 alpha=116.94 beta=116.94 gamma=90.02
Element x y z (fractional)
K 0.0000 0.0000 0.0000
K 0.0000 0.0000 0.5000
K 0.0000 0.5000 0.0000
K 0.5000 0.0000 0.5000
Dy 0.5000 0.5000 0.0000
Dy 0.5000 0.5000 0.5000
Te 0.0000 0.5000 0.5000
Te 0.5000 0.0000 0.0000
Se 0.2383 0.7086 0.4904
Se 0.2702 0.3035 0.5529
Se 0.2914 0.7617 0.0096
Se 0.3035 0.2702 0.0529
Se 0.6965 0.7298 0.9471
Se 0.7086 0.2383 0.9904
Se 0.7298 0.6965 0.4471
Se 0.7617 0.2914 0.5096

Record 4
K4Dy3VSe8: theoretical powder XRD pattern (Cu Kα (weighted mean of Kα1 and Kα2)), based on DFT lattice parameters and positions (GGA-PBE).

Main lines, by angle (2θ = 10–80°):
- 11.54 deg, I 56
- 29.44 deg, I 100
- 37.18 deg, I 21
- 40.27 deg, I 32
- 43.91 deg, I 35
- 45.56 deg, I 12
- 50.58 deg, I 12
- 53.75 deg, I 17
- 61.09 deg, I 9
- 66.61 deg, I 10
- 71.84 deg, I 14
- 78.24 deg, I 9

Structure:
Unit cell a=9.0266 b=9.0266 c=9.0266 alpha=54.36 beta=54.36 gamma=54.36
Element x y z (fractional)
K 0.0000 0.0000 0.0000
K 0.0000 0.5000 0.5000
K 0.5000 0.0000 0.5000
K 0.5000 0.5000 0.0000
Dy 0.0000 0.0000 0.5000
Dy 0.0000 0.5000 0.0000
Dy 0.5000 0.0000 0.0000
V 0.5000 0.5000 0.5000
Se 0.2361 0.2361 0.2361
Se 0.2524 0.7224 0.7224
Se 0.2776 0.2776 0.7476
Se 0.2776 0.7476 0.2776
Se 0.7224 0.2524 0.7224
Se 0.7224 0.7224 0.2524
Se 0.7476 0.2776 0.2776
Se 0.7639 0.7639 0.7639

Record 5
K3Dy3ZrSe8: theoretical powder XRD pattern (Cu Kα (weighted mean of Kα1 and Kα2)), based on DFT lattice parameters and positions (GGA-PBE).

Main lines, by angle (2θ = 10–80°):
- 11.29 deg, I 78
- 25.25 deg, I 13
- 29.29 deg, I 100
- 36.75 deg, I 27
- 39.74 deg, I 33
- 43.97 deg, I 35
- 45.54 deg, I 16
- 49.73 deg, I 15
- 53.71 deg, I 17
- 60.74 deg, I 9
- 65.78 deg, I 10
- 71.84 deg, I 14

Structure:
Unit cell a=9.1681 b=9.1681 c=9.1681 alpha=53.39 beta=53.39 gamma=53.39
Element x y z (fractional)
K 0.0000 0.5000 0.5000
K 0.5000 0.0000 0.5000
K 0.5000 0.5000 0.0000
Dy 0.0000 0.0000 0.5000
Dy 0.0000 0.5000 0.0000
Dy 0.5000 0.0000 0.0000
Zr 0.5000 0.5000 0.5000
Se 0.2350 0.2350 0.2350
Se 0.2466 0.7254 0.7254
Se 0.2746 0.2746 0.7534
Se 0.2746 0.7534 0.2746
Se 0.7254 0.2466 0.7254
Se 0.7254 0.7254 0.2466
Se 0.7534 0.2746 0.2746
Se 0.7650 0.7650 0.7650

Record 6
K2DySnTe4: theoretical powder XRD pattern (Cu Kα (weighted mean of Kα1 and Kα2)), based on DFT lattice parameters and positions (GGA-PBE).

Main lines, by angle (2θ = 10–80°):
- 10.69 deg, I 66
- 26.93 deg, I 50
- 27.06 deg, I 100
- 34.19 deg, I 30
- 36.67 deg, I 17
- 37.22 deg, I 33
- 39.84 deg, I 38
- 40.52 deg, I 18
- 46.69 deg, I 13
- 49.33 deg, I 19
- 55.79 deg, I 10
- 64.64 deg, I 10

Structure:
Unit cell a=7.8820 b=4.4524 c=8.6533 alpha=90.00 beta=107.05 gamma=90.00
Element x y z (fractional)
K 0.0000 0.0000 0.0000
K 0.5000 0.5000 0.0000
Dy 0.0000 0.5000 0.5000
Sn 0.5000 0.0000 0.5000
Te 0.2346 0.0000 0.7063
Te 0.2627 0.5000 0.2946
Te 0.7373 0.5000 0.7054
Te 0.7654 0.0000 0.2937

Record 7
KDy2Tm3Te6: theoretical powder XRD pattern (Cu Kα (weighted mean of Kα1 and Kα2)), based on DFT lattice parameters and positions (GGA-PBE).

Main lines, by angle (2θ = 10–80°):
- 28.69 deg, I 100
- 40.28 deg, I 13
- 40.77 deg, I 26
- 41.27 deg, I 24
- 41.71 deg, I 13
- 49.77 deg, I 7
- 50.64 deg, I 6
- 51.42 deg, I 13
- 59.40 deg, I 12
- 66.93 deg, I 12
- 67.64 deg, I 10
- 68.26 deg, I 6

Structure:
Unit cell a=9.8734 b=9.8734 c=8.9578 alpha=104.05 beta=104.05 gamma=25.34
Element x y z (fractional)
K 0.0000 0.0000 0.0000
Dy 0.3280 0.3280 0.6507
Dy 0.6720 0.6720 0.3493
Tm 0.0000 0.0000 0.5000
Tm 0.3386 0.3386 0.1775
Tm 0.6614 0.6614 0.8225
Te 0.1636 0.1636 0.5880
Te 0.1754 0.1754 0.0854
Te 0.4969 0.4969 0.7314
Te 0.5031 0.5031 0.2686
Te 0.8246 0.8246 0.9146
Te 0.8364 0.8364 0.4120

Record 8
K2DyUTe4: theoretical powder XRD pattern (Cu Kα (weighted mean of Kα1 and Kα2)), based on DFT lattice parameters and positions (GGA-PBE).

Main lines, by angle (2θ = 10–80°):
- 10.70 deg, I 54
- 26.99 deg, I 100
- 34.18 deg, I 20
- 37.03 deg, I 36
- 40.00 deg, I 37
- 41.53 deg, I 13
- 46.51 deg, I 13
- 48.92 deg, I 19
- 55.63 deg, I 14
- 60.81 deg, I 13
- 64.97 deg, I 16
- 70.68 deg, I 20

Structure:
Unit cell a=7.8098 b=4.5069 c=8.6679 alpha=90.00 beta=107.50 gamma=90.00
Element x y z (fractional)
K 0.0000 0.0000 0.0000
K 0.5000 0.5000 0.0000
Dy 0.0000 0.5000 0.5000
U 0.5000 0.0000 0.5000
Te 0.2334 0.0000 0.7099
Te 0.2599 0.5000 0.2888
Te 0.7401 0.5000 0.7112
Te 0.7666 0.0000 0.2901

Record 9
KDyTl: theoretical powder XRD pattern (Cu Kα (weighted mean of Kα1 and Kα2)), based on DFT lattice parameters and positions (GGA-PBE).

Main lines, by angle (2θ = 10–80°):
- 18.37 deg, I 13
- 23.99 deg, I 16
- 31.01 deg, I 100
- 31.49 deg, I 66
- 32.10 deg, I 33
- 35.73 deg, I 56
- 45.13 deg, I 25
- 45.59 deg, I 13
- 52.55 deg, I 13
- 55.77 deg, I 38
- 58.85 deg, I 29
- 60.62 deg, I 12

Structure:
Unit cell a=14.7684 b=14.7684 c=14.7684 alpha=164.36 beta=164.36 gamma=22.18
Element x y z (fractional)
K 0.0763 0.0763 0.0000
K 0.9237 0.9237 0.0000
Dy 0.2121 0.2121 0.0000
Dy 0.7879 0.7879 0.0000
Tl 0.3393 0.3393 0.0000
Tl 0.6607 0.6607 0.0000

Record 10
La13Dy3: theoretical powder XRD pattern (Cu Kα (weighted mean of Kα1 and Kα2)), based on DFT lattice parameters and positions (GGA-PBE).

Main lines, by angle (2θ = 10–80°):
- 29.63 deg, I 100
- 33.94 deg, I 17
- 34.48 deg, I 17
- 34.62 deg, I 17
- 49.16 deg, I 12
- 49.27 deg, I 12
- 49.66 deg, I 12
- 58.10 deg, I 15
- 58.81 deg, I 14
- 58.99 deg, I 14
- 61.52 deg, I 12
- 79.80 deg, I 6

Structure:
Unit cell a=10.5638 b=7.3431 c=7.3431 alpha=89.78 beta=90.00 gamma=90.00
Element x y z (fractional)
La 0.0000 0.0000 0.0000
La 0.0000 0.0024 0.4921
La 0.0000 0.4921 0.0024
La 0.0000 0.4943 0.4943
La 0.2467 0.7479 0.7479
La 0.2528 0.2455 0.7481
La 0.2528 0.7481 0.2455
La 0.5000 0.4960 0.4960
La 0.5000 0.4965 0.9966
La 0.5000 0.9966 0.4965
La 0.7472 0.2455 0.7481
La 0.7472 0.7481 0.2455
La 0.7533 0.7479 0.7479
Dy 0.2553 0.2455 0.2455
Dy 0.5000 0.9984 0.9984
Dy 0.7447 0.2455 0.2455

Record 11
La7Dy5: theoretical powder XRD pattern (Cu Kα (weighted mean of Kα1 and Kα2)), based on DFT lattice parameters and positions (GGA-PBE).

Main lines, by angle (2θ = 10–80°):
- 29.00 deg, I 41
- 30.21 deg, I 34
- 31.89 deg, I 100
- 36.20 deg, I 12
- 36.25 deg, I 11
- 47.87 deg, I 10
- 49.47 deg, I 9
- 49.54 deg, I 17
- 54.72 deg, I 18
- 59.08 deg, I 20
- 59.18 deg, I 10
- 60.09 deg, I 14

Structure:
Unit cell a=9.7320 b=9.7320 c=13.4283 alpha=117.66 beta=117.66 gamma=21.83
Element x y z (fractional)
La 0.0000 0.0000 0.0000
La 0.1405 0.1405 0.7524
La 0.1674 0.1674 0.5038
La 0.4727 0.4727 0.7498
La 0.5273 0.5273 0.2502
La 0.8326 0.8326 0.4962
La 0.8595 0.8595 0.2476
Dy 0.1924 0.1924 0.2475
Dy 0.3306 0.3306 0.9945
Dy 0.5000 0.5000 0.5000
Dy 0.6694 0.6694 0.0055
Dy 0.8076 0.8076 0.7525

Record 12
La5Dy: theoretical powder XRD pattern (Cu Kα (weighted mean of Kα1 and Kα2)), based on DFT lattice parameters and positions (GGA-PBE).

Main lines, by angle (2θ = 10–80°):
- 29.59 deg, I 100
- 34.23 deg, I 34
- 34.41 deg, I 17
- 49.19 deg, I 12
- 49.33 deg, I 24
- 58.46 deg, I 29
- 58.70 deg, I 14
- 61.41 deg, I 12
- 72.12 deg, I 4
- 72.55 deg, I 2
- 79.83 deg, I 6

Structure:
Unit cell a=3.7042 b=3.7042 c=15.6361 alpha=90.00 beta=90.00 gamma=90.00
Element x y z (fractional)
La 0.0000 0.0000 0.0000
La 0.0000 0.0000 0.3382
La 0.0000 0.0000 0.6618
La 0.5000 0.5000 0.1692
La 0.5000 0.5000 0.8308
Dy 0.5000 0.5000 0.5000